[1]
This entry pairs a crystal structure of MgCoPb2WO6 with its simulated powder diffraction line list. Radiation: CuKα. Structure: DFT lattice parameters and positions (GGA+U).
Kinematic intensities with the Lorentz-polarization factor, no thermal factor.

Structure:
abc: 5.763 5.867 6.178
angles: 69.29 63.77 88.08
Space group P-1 (No. 2)
Unique sites:
Mg  0.000  0.000  0.000
Co  0.500  0.000  0.000
Pb  0.297  0.417  0.368
W  0.000  0.500  0.000
O  0.126  0.664  0.605
O  0.241  0.749  0.036
O  0.268  0.254  0.939

Top 6 peaks for 15 to 90 degrees two-theta, in order of rising 2θ:
2theta, Rel. int.
16.33, 100
29.29, 43
29.66, 37
29.81, 25
30.96, 42
31.08, 39

---

[2]
This entry pairs a crystal structure of PrMgCo2O6 with its simulated powder diffraction line list. Radiation: CuKα. Structure: DFT lattice parameters and positions (GGA+U).
Kinematic intensities with the Lorentz-polarization factor, no thermal factor.

Structure:
abc: 5.269 5.370 7.628
angles: 89.40 89.91 88.94
Space group P1 (No. 1)
Unique sites:
Pr  0.000  0.000  0.000
Pr  0.487  0.586  0.492
Mg  0.024  0.100  0.494
Mg  0.531  0.483  0.001
Co  0.002  0.540  0.245
Co  0.003  0.542  0.747
Co  0.509  0.045  0.746
Co  0.509  0.049  0.248
O  0.132  0.561  0.007
O  0.172  0.830  0.689
O  0.182  0.836  0.305
O  0.277  0.308  0.298
O  0.283  0.301  0.689
O  0.430  0.093  0.994
O  0.632  0.024  0.499
O  0.676  0.750  0.806
O  0.694  0.746  0.191
O  0.783  0.283  0.187
O  0.788  0.283  0.798
O  0.920  0.491  0.484

Top 6 peaks for 15 to 90 degrees two-theta, in order of rising 2θ:
2theta, Rel. int.
20.49, 70
33.16, 60
33.42, 100
33.52, 55
33.73, 52
34.04, 49

---

[3]
This entry pairs a crystal structure of RbMg6CoO8 with its simulated powder diffraction line list. Radiation: CuKα. Structure: DFT lattice parameters and positions (GGA+U).
Kinematic intensities with the Lorentz-polarization factor, no thermal factor.

Structure:
abc: 4.571 4.571 8.666
angles: 90.00 90.00 90.00
Space group P4/mmm (No. 123)
Unique sites:
Rb  0.000  0.000  0.000
Mg  0.000  0.500  0.258
Mg  0.500  0.500  0.000
Mg  0.500  0.500  0.500
Co  0.000  0.000  0.500
O  0.000  0.000  0.286
O  0.000  0.500  0.000
O  0.000  0.500  0.500
O  0.500  0.500  0.252

Top 6 peaks for 15 to 90 degrees two-theta, in order of rising 2θ:
2theta, Rel. int.
19.42, 31
34.62, 46
39.43, 100
41.69, 39
56.99, 30
58.72, 51

---

What did the second record say?
This entry pairs a crystal structure of PrMgCo2O6 with its simulated powder diffraction line list. Radiation: CuKα. Structure: DFT lattice parameters and positions (GGA+U).
Kinematic intensities with the Lorentz-polarization factor, no thermal factor.

Structure:
abc: 5.269 5.370 7.628
angles: 89.40 89.91 88.94
Space group P1 (No. 1)
Unique sites:
Pr  0.000  0.000  0.000
Pr  0.487  0.586  0.492
Mg  0.024  0.100  0.494
Mg  0.531  0.483  0.001
Co  0.002  0.540  0.245
Co  0.003  0.542  0.747
Co  0.509  0.045  0.746
Co  0.509  0.049  0.248
O  0.132  0.561  0.007
O  0.172  0.830  0.689
O  0.182  0.836  0.305
O  0.277  0.308  0.298
O  0.283  0.301  0.689
O  0.430  0.093  0.994
O  0.632  0.024  0.499
O  0.676  0.750  0.806
O  0.694  0.746  0.191
O  0.783  0.283  0.187
O  0.788  0.283  0.798
O  0.920  0.491  0.484

Top 6 peaks for 15 to 90 degrees two-theta, in order of rising 2θ:
2theta, Rel. int.
20.49, 70
33.16, 60
33.42, 100
33.52, 55
33.73, 52
34.04, 49

---

Repeat the third record exactly.
This entry pairs a crystal structure of RbMg6CoO8 with its simulated powder diffraction line list. Radiation: CuKα. Structure: DFT lattice parameters and positions (GGA+U).
Kinematic intensities with the Lorentz-polarization factor, no thermal factor.

Structure:
abc: 4.571 4.571 8.666
angles: 90.00 90.00 90.00
Space group P4/mmm (No. 123)
Unique sites:
Rb  0.000  0.000  0.000
Mg  0.000  0.500  0.258
Mg  0.500  0.500  0.000
Mg  0.500  0.500  0.500
Co  0.000  0.000  0.500
O  0.000  0.000  0.286
O  0.000  0.500  0.000
O  0.000  0.500  0.500
O  0.500  0.500  0.252

Top 6 peaks for 15 to 90 degrees two-theta, in order of rising 2θ:
2theta, Rel. int.
19.42, 31
34.62, 46
39.43, 100
41.69, 39
56.99, 30
58.72, 51